1.
This entry pairs a crystal structure of Rb2ScIrI6 with its calculated powder X-ray diffraction pattern. Radiation: Cu Kα. Structure: a structure optimized by DFT (GGA-PBE).

Cell and atoms:
abc: 8.1599 8.1599 8.1599
angles: 120.18 120.18 89.68
Fractional coordinates of all 10 atoms:
Rb 0.2500 0.7500 0.5000
Rb 0.7500 0.2500 0.5000
Sc 0.0000 0.0000 0.0000
Ir 0.5000 0.5000 0.0000
I 0.2537 0.2537 0.0000
I 0.2551 0.2551 0.5102
I 0.2551 0.7449 0.0000
I 0.7449 0.2551 0.0000
I 0.7449 0.7449 0.4898
I 0.7462 0.7462 0.0000

Main lines, by angle (2θ = 10–90°):
- d = 6.656 Å, 2θ = 13.3°, I 27
- d = 5.765 Å, 2θ = 15.4°, I 57
- d = 3.328 Å, 2θ = 26.8°, I 100
- d = 2.893 Å, 2θ = 30.9°, I 48
- d = 2.877 Å, 2θ = 31.1°, I 95
- d = 2.575 Å, 2θ = 34.8°, I 20
- d = 2.040 Å, 2θ = 44.4°, I 70
- d = 2.034 Å, 2θ = 44.5°, I 35
- d = 1.736 Å, 2θ = 52.7°, I 29
- d = 1.664 Å, 2θ = 55.2°, I 36
- d = 1.287 Å, 2θ = 73.6°, I 31
- d = 1.176 Å, 2θ = 82.0°, I 23



2.
This entry pairs a crystal structure of IrSI with its calculated powder X-ray diffraction pattern. Radiation: Cu Kα. Structure: a structure optimized by DFT (GGA-PBE).

Cell and atoms:
abc: 3.7415 4.6393 9.3790
angles: 90.00 90.30 90.00
Fractional coordinates of all 6 atoms:
Ir 0.2485 0.2500 0.3902
Ir 0.7515 0.7500 0.6098
S 0.2493 0.7500 0.4515
S 0.7507 0.2500 0.5485
I 0.2542 0.7500 0.8185
I 0.7458 0.2500 0.1815

Main lines, by angle (2θ = 10–90°):
- d = 4.158 Å, 2θ = 21.4°, I 100
- d = 2.932 Å, 2θ = 30.5°, I 36
- d = 2.917 Å, 2θ = 30.6°, I 38
- d = 2.781 Å, 2θ = 32.2°, I 39
- d = 2.405 Å, 2θ = 37.4°, I 13
- d = 2.320 Å, 2θ = 38.8°, I 26
- d = 2.135 Å, 2θ = 42.3°, I 17
- d = 2.127 Å, 2θ = 42.5°, I 18
- d = 1.871 Å, 2θ = 48.7°, I 13
- d = 1.819 Å, 2θ = 50.1°, I 18
- d = 1.816 Å, 2θ = 50.3°, I 19
- d = 1.706 Å, 2θ = 53.7°, I 17



3.
This entry pairs a crystal structure of Sm8Ir3SI4 with its calculated powder X-ray diffraction pattern. Radiation: Cu Kα. Structure: a structure optimized by DFT (GGA-PBE).

Cell and atoms:
abc: 9.3059 9.3059 9.3059
angles: 53.82 53.82 53.82
Fractional coordinates of all 16 atoms:
Sm 0.2134 0.7352 0.7352
Sm 0.2278 0.2278 0.2278
Sm 0.2648 0.2648 0.7866
Sm 0.2648 0.7866 0.2648
Sm 0.7352 0.2134 0.7352
Sm 0.7352 0.7352 0.2134
Sm 0.7722 0.7722 0.7722
Sm 0.7866 0.2648 0.2648
Ir 0.0000 0.0000 0.5000
Ir 0.0000 0.5000 0.0000
Ir 0.5000 0.0000 0.0000
S 0.5000 0.5000 0.5000
I 0.0000 0.0000 0.0000
I 0.0000 0.5000 0.5000
I 0.5000 0.0000 0.5000
I 0.5000 0.5000 0.0000

Main lines, by angle (2θ = 10–90°):
- d = 7.934 Å, 2θ = 11.2°, I 22
- d = 3.110 Å, 2θ = 28.7°, I 100
- d = 2.894 Å, 2θ = 30.9°, I 9
- d = 2.487 Å, 2θ = 36.1°, I 14
- d = 2.305 Å, 2θ = 39.1°, I 26
- d = 2.106 Å, 2θ = 43.0°, I 39
- d = 1.861 Å, 2θ = 48.9°, I 10
- d = 1.744 Å, 2θ = 52.5°, I 18
- d = 1.555 Å, 2θ = 59.4°, I 8
- d = 1.343 Å, 2θ = 70.1°, I 15
- d = 1.251 Å, 2θ = 76.1°, I 7
- d = 1.120 Å, 2θ = 87.0°, I 9



4.
This entry pairs a crystal structure of Tb3IrI3 with its calculated powder X-ray diffraction pattern. Radiation: Cu Kα. Structure: a structure optimized by DFT (GGA-PBE).

Cell and atoms:
abc: 8.9276 4.2697 12.4002
angles: 90.00 93.38 90.00
Fractional coordinates of all 14 atoms:
Tb 0.0957 0.2500 0.3159
Tb 0.1413 0.2500 0.8707
Tb 0.2517 0.7500 0.0990
Tb 0.7483 0.2500 0.9010
Tb 0.8587 0.7500 0.1293
Tb 0.9043 0.7500 0.6841
Ir 0.0496 0.2500 0.0929
Ir 0.9504 0.7500 0.9071
I 0.1429 0.2500 0.6059
I 0.3492 0.7500 0.3592
I 0.4288 0.7500 0.8674
I 0.5712 0.2500 0.1326
I 0.6508 0.2500 0.6408
I 0.8571 0.7500 0.3941

Main lines, by angle (2θ = 10–90°):
- d = 7.444 Å, 2θ = 11.9°, I 19
- d = 3.095 Å, 2θ = 28.9°, I 54
- d = 3.083 Å, 2θ = 29.0°, I 100
- d = 3.021 Å, 2θ = 29.6°, I 17
- d = 2.964 Å, 2θ = 30.1°, I 32
- d = 2.806 Å, 2θ = 31.9°, I 18
- d = 2.440 Å, 2θ = 36.8°, I 28
- d = 2.423 Å, 2θ = 37.1°, I 22
- d = 2.230 Å, 2θ = 40.4°, I 55
- d = 2.216 Å, 2θ = 40.7°, I 17
- d = 2.135 Å, 2θ = 42.3°, I 37
- d = 1.757 Å, 2θ = 52.0°, I 21